1.
# Rb4H6C2O9
Simulated powder XRD pattern, Cu Kα X-rays. Input: a crystal structure in Alexandria, relaxed with PBE.
Kinematic intensities with the Lorentz-polarization factor, no thermal factor.

Cell and atoms:
```
42
Lattice="6.3355 -6.9299 0.0000 6.3355 6.9299 0.0000 -3.8207 0.0000 6.6026" Properties=species:S:1:pos:R:3 pbc="T T T"
Rb 3.4700 5.2723 4.9519
Rb 5.3804 4.3090 1.6506
Rb 2.7566 1.8540 3.0573
Rb 0.8463 -1.8540 6.3586
Rb 8.0041 1.8540 0.2440
Rb 6.0938 -1.8540 3.5452
Rb 3.4700 -4.3090 4.9519
Rb 5.3804 -5.2723 1.6506
H 2.4951 0.9439 0.2412
H -0.1504 0.3938 4.0987
H 1.7599 -0.3938 0.7974
H 0.5848 -0.9439 3.5425
H 4.8857 0.9303 1.0274
H 2.9753 -0.9303 4.3286
H 5.8750 0.9303 2.2739
H 3.9647 -0.9303 5.5752
H 8.2656 0.9439 3.0600
H 7.0905 0.3938 5.8051
H 9.0008 -0.3938 2.5039
H 6.3553 -0.9439 6.3613
C 0.6343 2.3021 5.5587
C 2.5446 -2.3021 2.2575
C 6.3057 2.3021 4.3451
C 8.2161 -2.3021 1.0438
O 0.0493 2.0780 4.4066
O 1.6027 0.5439 0.4831
O 1.7322 2.9786 5.6176
O 3.9110 1.8284 0.0551
O -0.3076 -0.5439 3.7844
O 1.9596 -2.0780 1.1054
O 5.2079 2.9786 4.2862
O 2.0007 -1.8284 3.3564
O 5.3804 0.3160 1.6506
O 3.4700 -0.3160 4.9519
O 6.8497 1.8284 3.2462
O 3.6425 -2.9786 2.3163
O 6.8908 2.0780 5.4972
O 9.1580 0.5439 2.8182
O 4.9393 -1.8284 6.5475
O 7.1182 -2.9786 0.9849
O 7.2476 -0.5439 6.1194
O 8.8011 -2.0780 2.1959
```

Most intense lines, 2θ from 10° to 80°, in order of rising 2θ:
2θ (°), intensity
24.80, 34
25.19, 42
25.71, 54
28.67, 36
28.89, 37
30.19, 91
30.88, 93
31.20, 100
38.22, 40
40.06, 32

2.
# HoHfAl3
Simulated powder XRD pattern, Cu Kα X-rays. Input: a crystal structure in Alexandria, relaxed with PBE.
Kinematic intensities with the Lorentz-polarization factor, no thermal factor.

Cell and atoms:
```
10
Lattice="2.8619 -6.9614 0.0000 2.8619 6.9614 0.0000 0.0000 0.0000 5.1777" Properties=species:S:1:pos:R:3 pbc="T T T"
Ho 2.8619 5.7779 3.8833
Ho 2.8619 -5.7779 1.2944
Hf 2.8619 2.6668 1.2944
Hf 2.8619 -2.6668 3.8833
Al 1.4757 1.9565 3.8833
Al 1.4757 -1.9565 1.2944
Al 2.8619 0.0000 0.0000
Al 2.8619 0.0000 2.5888
Al 4.2482 1.9565 3.8833
Al 4.2482 -1.9565 1.2944
```

Most intense lines, 2θ from 10° to 80°, in order of rising 2θ:
2θ (°), intensity
21.39, 83
24.70, 22
30.21, 100
31.25, 37
34.65, 39
35.86, 62
38.19, 89
50.72, 34
51.77, 25
64.46, 24

3.
# DyZr2Ga9
Simulated powder XRD pattern, Cu Kα X-rays. Input: a crystal structure in Alexandria, relaxed with PBE.
Kinematic intensities with the Lorentz-polarization factor, no thermal factor.

Cell and atoms:
```
12
Lattice="4.1934 0.0000 0.0000 0.0000 4.1934 0.0000 0.0000 0.0000 12.4305" Properties=species:S:1:pos:R:3 pbc="T T T"
Dy 0.0000 0.0000 0.0000
Zr 0.0000 0.0000 4.2126
Zr 0.0000 0.0000 8.2179
Ga 0.0000 2.0967 2.1597
Ga 0.0000 2.0967 6.2153
Ga 0.0000 2.0967 10.2709
Ga 2.0967 0.0000 2.1597
Ga 2.0967 0.0000 6.2153
Ga 2.0967 0.0000 10.2709
Ga 2.0967 2.0967 0.0000
Ga 2.0967 2.0967 4.1623
Ga 2.0967 2.0967 8.2683
```

Most intense lines, 2θ from 10° to 80°, in order of rising 2θ:
2θ (°), intensity
21.19, 3
30.33, 3
37.29, 100
43.15, 33
43.69, 16
62.66, 11
63.08, 20
75.24, 24
76.01, 11
79.50, 10

4.
# Sm8BiPb5
Simulated powder XRD pattern, Cu Kα X-rays. Input: a crystal structure in Alexandria, relaxed with PBE.
Kinematic intensities with the Lorentz-polarization factor, no thermal factor.

Cell and atoms:
```
14
Lattice="-4.7985 4.7985 4.7935 4.7985 -4.7985 4.7935 4.7985 4.7985 -4.7935" Properties=species:S:1:pos:R:3 pbc="T T T"
Sm 1.7102 -0.6809 1.8688
Sm 4.1220 1.7350 -0.5430
Sm 3.0883 5.4794 -2.9247
Sm 3.0635 -0.6764 5.3365
Sm 1.7350 5.4749 0.5430
Sm 4.1176 3.0883 2.9247
Sm 0.6764 3.0635 4.2506
Sm 0.6809 1.7102 7.7183
Bi 4.7985 0.0000 2.3968
Pb 7.1992 1.2060 -1.1897
Pb 1.2060 2.3977 1.1897
Pb 0.0000 0.0000 4.7935
Pb -2.4008 3.5925 3.6039
Pb 3.5925 2.4008 5.9832
```

Most intense lines, 2θ from 10° to 80°, in order of rising 2θ:
2θ (°), intensity
22.70, 11
29.44, 100
35.00, 63
42.12, 19
44.28, 14
46.37, 13
48.38, 21
59.39, 30
62.77, 14
72.39, 21

5.
# MnCu23Au6
Simulated powder XRD pattern, Cu Kα X-rays. Input: a crystal structure in Alexandria, relaxed with PBE.
Kinematic intensities with the Lorentz-polarization factor, no thermal factor.

Cell and atoms:
```
30
Lattice="0.0000 5.8815 5.8815 5.8815 0.0000 5.8815 5.8815 5.8815 0.0000" Properties=species:S:1:pos:R:3 pbc="T T T"
Mn 0.0000 0.0000 0.0000
Cu 2.9408 2.9408 0.0000
Cu 2.9408 0.0000 2.9408
Cu 5.8815 2.9408 2.9408
Cu 7.3437 4.4194 4.4194
Cu 1.8814 1.8814 1.8814
Cu 4.0001 4.0001 1.8814
Cu 4.0001 1.8814 4.0001
Cu 4.4194 4.4194 4.4194
Cu 7.3437 7.3437 4.4194
Cu 7.3437 4.4194 7.3437
Cu 9.8817 7.7629 7.7629
Cu 0.0000 2.9408 2.9408
Cu 2.9408 5.8815 2.9408
Cu 2.9408 2.9408 5.8815
Cu 5.8815 5.8815 5.8815
Cu 1.8814 4.0001 4.0001
Cu 4.4194 7.3437 4.4194
Cu 4.4194 4.4194 7.3437
Cu 7.3437 7.3437 7.3437
Cu 7.7629 9.8817 7.7629
Cu 7.7629 7.7629 9.8817
Cu 9.8817 9.8817 9.8817
Cu 4.4194 7.3437 7.3437
Au 5.8815 5.8815 2.7135
Au 5.8815 2.7135 5.8815
Au 9.0496 5.8815 5.8815
Au 2.7135 5.8815 5.8815
Au 5.8815 9.0496 5.8815
Au 5.8815 5.8815 9.0496
```

Most intense lines, 2θ from 10° to 80°, in order of rising 2θ:
2θ (°), intensity
21.37, 9
26.24, 18
30.40, 14
34.09, 17
37.45, 13
39.82, 23
43.52, 100
46.31, 9
63.24, 11
79.90, 21

6.
# CuNiHRuCSe
Simulated powder XRD pattern, Cu Kα X-rays. Input: a crystal structure in Alexandria, relaxed with PBE.
Kinematic intensities with the Lorentz-polarization factor, no thermal factor.

Cell and atoms:
```
12
Lattice="12.9498 0.0000 0.0000 0.0000 2.8982 0.0000 -1.2401 0.0000 4.3415" Properties=species:S:1:pos:R:3 pbc="T T T"
Cu 0.0000 0.0000 0.0000
Cu 6.4749 1.4491 0.0000
Ni 1.6559 1.4491 1.8158
Ni 8.1308 0.0000 1.8158
H 4.5407 0.0000 3.4675
H 11.0156 1.4491 3.4675
Ru 5.6065 0.0000 2.1446
Ru 12.0814 1.4491 2.1446
C 0.4349 0.0000 1.9918
C 6.9098 1.4491 1.9918
Se 3.3980 0.0000 0.9574
Se 9.8729 1.4491 0.9574
```

Most intense lines, 2θ from 10° to 80°, in order of rising 2θ:
2θ (°), intensity
14.23, 44
20.46, 78
28.68, 52
36.89, 100
40.04, 31
40.30, 27
48.03, 30
48.18, 31
48.38, 44
57.09, 28

7.
# Dy4Ga2N
Simulated powder XRD pattern, Cu Kα X-rays. Input: a crystal structure in Alexandria, relaxed with PBE.
Kinematic intensities with the Lorentz-polarization factor, no thermal factor.

Cell and atoms:
```
14
Lattice="14.9548 0.0000 0.0000 0.0000 3.6088 0.0000 -1.3597 0.0000 5.8170" Properties=species:S:1:pos:R:3 pbc="T T T"
Dy 0.6562 0.0000 1.5811
Dy 0.8389 1.8044 4.9074
Dy 5.2788 0.0000 0.9096
Dy 5.4616 1.8044 4.2359
Dy 8.1336 1.8044 1.5811
Dy 8.3163 0.0000 4.9074
Dy 12.7562 1.8044 0.9096
Dy 12.9390 0.0000 4.2359
Ga 3.1247 1.8044 1.9714
Ga 2.9931 0.0000 3.8456
Ga 10.6021 0.0000 1.9714
Ga 10.4705 1.8044 3.8456
N 0.0000 1.8044 0.0000
N 7.4774 0.0000 0.0000
```

Most intense lines, 2θ from 10° to 80°, in order of rising 2θ:
2θ (°), intensity
30.39, 30
30.50, 35
30.74, 29
30.88, 31
31.83, 36
32.61, 100
36.49, 37
36.73, 32
41.42, 30
50.62, 39

8.
# V4Re3Ru2
Simulated powder XRD pattern, Cu Kα X-rays. Input: a crystal structure in Alexandria, relaxed with PBE.
Kinematic intensities with the Lorentz-polarization factor, no thermal factor.

Cell and atoms:
```
9
Lattice="4.2953 0.0000 0.0000 -2.1476 3.7198 0.0000 0.0000 0.0000 7.8910" Properties=species:S:1:pos:R:3 pbc="T T T"
V 0.0000 0.0000 1.2807
V 0.0000 0.0000 6.6104
V 0.0000 2.4799 3.0805
V 2.1476 1.2399 4.8106
Re 0.0000 0.0000 3.9455
Re 0.0000 2.4799 0.5266
Re 2.1476 1.2399 7.3644
Ru 0.0000 2.4799 5.6617
Ru 2.1476 1.2399 2.2294
```

Most intense lines, 2θ from 10° to 80°, in order of rising 2θ:
2θ (°), intensity
22.54, 4
26.49, 21
33.10, 13
42.07, 100
48.25, 4
50.41, 4
61.01, 16
67.69, 3
74.63, 4
76.89, 32

9.
# NdSmFe17N3
Simulated powder XRD pattern, Cu Kα X-rays. Input: a crystal structure in Alexandria, relaxed with PBE.
Kinematic intensities with the Lorentz-polarization factor, no thermal factor.

Cell and atoms:
```
22
Lattice="4.3594 2.5169 4.1885 -4.3594 2.5169 4.1885 0.0000 -5.0339 4.1885" Properties=species:S:1:pos:R:3 pbc="T T T"
Nd 0.0000 0.0000 0.0000
Sm 0.0000 0.0000 8.6464
Fe 0.0000 -2.4337 2.0647
Fe -2.1077 1.2169 2.0647
Fe -1.2344 -2.1316 4.3302
Fe -2.4633 -0.0032 4.3302
Fe -2.0996 -1.2122 6.5969
Fe 0.0000 0.0000 3.1496
Fe 0.0000 -2.5181 6.4224
Fe -2.1807 1.2590 6.4224
Fe 1.2344 -2.1316 4.3302
Fe -1.2288 2.1349 4.3302
Fe 0.0000 0.0000 5.5162
Fe 2.1077 1.2169 2.0647
Fe 2.4633 -0.0032 4.3302
Fe 1.2288 2.1349 4.3302
Fe 2.0996 -1.2122 6.5969
Fe 0.0000 2.4244 6.5969
Fe 2.1807 1.2590 6.4224
N -2.1593 -1.2467 8.5206
N 2.1593 -1.2467 8.5206
N 0.0000 2.4933 8.5206
```

Most intense lines, 2θ from 10° to 80°, in order of rising 2θ:
2θ (°), intensity
29.58, 39
35.67, 38
37.24, 30
41.42, 79
41.87, 100
42.81, 21
43.21, 49
46.99, 18
60.37, 21
61.39, 19

10.
# Ca2LaSnC
Simulated powder XRD pattern, Cu Kα X-rays. Input: a crystal structure in Alexandria, relaxed with PBE.
Kinematic intensities with the Lorentz-polarization factor, no thermal factor.

Cell and atoms:
```
5
Lattice="5.1257 0.0000 0.0000 0.0000 5.1257 0.0000 0.0000 0.0000 4.9408" Properties=species:S:1:pos:R:3 pbc="T T T"
Ca 0.0000 2.5628 0.0000
Ca 2.5628 0.0000 0.0000
La 0.0000 0.0000 2.4704
Sn 2.5628 2.5628 2.4704
C 0.0000 0.0000 0.0000
```

Most intense lines, 2θ from 10° to 80°, in order of rising 2θ:
2θ (°), intensity
17.95, 20
24.56, 26
30.59, 100
35.01, 39
36.37, 18
50.35, 14
51.37, 26
60.07, 29
61.88, 13
63.69, 13

11.
# CaCuSi2Pd2
Simulated powder XRD pattern, Cu Kα X-rays. Input: a crystal structure in Alexandria, relaxed with PBE.
Kinematic intensities with the Lorentz-polarization factor, no thermal factor.

Cell and atoms:
```
6
Lattice="4.4367 0.0000 0.0000 0.0000 4.4367 0.0000 0.0000 0.0000 5.5820" Properties=species:S:1:pos:R:3 pbc="T T T"
Ca 0.0000 0.0000 0.0000
Cu 0.0000 0.0000 2.7910
Si 0.0000 2.2184 2.7910
Si 2.2184 0.0000 2.7910
Pd 2.2184 2.2184 1.4043
Pd 2.2184 2.2184 4.1777
```

Most intense lines, 2θ from 10° to 80°, in order of rising 2θ:
2θ (°), intensity
15.88, 17
20.01, 27
28.45, 75
38.09, 100
40.67, 57
43.39, 17
56.94, 59
58.87, 18
66.66, 12
72.30, 14

12.
# LiPr2NdHg4
Simulated powder XRD pattern, Cu Kα X-rays. Input: a crystal structure in Alexandria, relaxed with PBE.
Kinematic intensities with the Lorentz-polarization factor, no thermal factor.

Cell and atoms:
```
8
Lattice="2.6458 1.5275 8.8866 -2.6458 1.5275 8.8866 0.0000 -3.0551 8.8866" Properties=species:S:1:pos:R:3 pbc="T T T"
Li 0.0000 0.0000 0.0000
Pr 0.0000 0.0000 6.8191
Pr 0.0000 0.0000 19.8407
Nd 0.0000 0.0000 13.3299
Hg 0.0000 0.0000 3.2711
Hg 0.0000 0.0000 9.9650
Hg 0.0000 0.0000 16.6948
Hg 0.0000 0.0000 23.3887
```

Most intense lines, 2θ from 10° to 80°, in order of rising 2θ:
2θ (°), intensity
23.56, 21
33.24, 100
33.88, 98
48.20, 36
58.98, 18
60.21, 37
60.62, 20
69.79, 11
71.29, 13
79.88, 16